Record 1
For TmGaIrRh, a structure optimized by DFT (GGA-PBE) gives the computed PXRD pattern in this record (a wavelength of 1.5418 Å).
No peak broadening, texture or thermal motion is included.

```
data_TmGaIrRh
_cell_length_a 3.5414
_cell_length_b 4.2622
_cell_length_c 4.3716
_cell_angle_alpha 90.00
_cell_angle_beta 90.00
_cell_angle_gamma 90.00
_space_group_name_H-M_alt 'P m m m'
_space_group_IT_number 47
loop_
_space_group_symop_operation_xyz
'x,y,z'
'-x,-y,-z'
'-x,-y,z'
'x,y,-z'
'x,-y,-z'
'-x,y,z'
'-x,y,-z'
'x,-y,z'
loop_
_atom_site_label
_atom_site_fract_x
_atom_site_fract_y
_atom_site_fract_z
_atom_site_occupancy
Tm1 0.0000 0.0000 0.0000 1
Ga1 0.0000 0.5000 0.5000 1
Ir1 0.5000 0.0000 0.5000 1
Rh1 0.5000 0.5000 0.0000 1
```

Top 8 peaks for 10 to 90 degrees two-theta, by intensity:
d_spacing, I (rel.)
2.312, 100
2.186, 21
2.131, 20
1.285, 15
1.262, 14
1.526, 14
4.262, 13
1.771, 11



Record 2
For TmGa4IrRh2, a structure optimized by DFT (GGA-PBE) gives the computed PXRD pattern in this record (a wavelength of 1.5418 Å).
No peak broadening, texture or thermal motion is included.

```
data_TmGa4IrRh2
_cell_length_a 4.2324
_cell_length_b 4.2324
_cell_length_c 25.4646
_cell_angle_alpha 90.00
_cell_angle_beta 90.00
_cell_angle_gamma 120.00
_space_group_name_H-M_alt 'R -3 m'
_space_group_IT_number 166
_space_group_name_Hall '-R 3 2"'
loop_
_atom_site_label
_atom_site_fract_x
_atom_site_fract_y
_atom_site_fract_z
_atom_site_occupancy
Tm1 0.0000 0.0000 0.0000 1
Ga1 0.0000 0.0000 0.1308 1
Ga2 0.0000 0.0000 0.3966 1
Ir1 0.0000 0.0000 0.5000 1
Rh1 0.0000 0.0000 0.2381 1
```

Top 8 peaks for 10 to 90 degrees two-theta, by intensity:
d_spacing, I (rel.)
2.403, 100
2.116, 93
3.176, 32
1.588, 28
1.270, 26
8.488, 21
1.957, 16
1.222, 15